# Rb2NaErCl6
Calculated X-ray diffraction stick pattern, Cu Kα (weighted mean of Kα1 and Kα2). Input: a cell relaxed with GGA-PBE.
Kinematic intensities with the Lorentz-polarization factor, no thermal factor.

Principal peaks in the range 10 to 80 degrees two-theta, by angle:
14.26 deg, rel. 56, hkl 1 1 1
23.40 deg, rel. 100, hkl 2 2 0
27.51 deg, rel. 30, hkl 3 1 1
28.76 deg, rel. 20, hkl 2 2 2
33.33 deg, rel. 81, hkl 4 0 0
41.12 deg, rel. 47, hkl 4 2 2
47.85 deg, rel. 55, hkl 4 4 0
53.92 deg, rel. 22, hkl 6 2 0
64.88 deg, rel. 25, hkl 6 4 2
79.76 deg, rel. 23, hkl 8 4 0

```
data_Rb2NaErCl6
_symmetry_space_group_name_H-M 'F m -3 m'
_symmetry_Int_Tables_number 225
_symmetry_space_group_name_Hall '-F 4 2 3'
_cell_length_a 10.754
_cell_length_b 10.754
_cell_length_c 10.754
_cell_angle_alpha 90.00
_cell_angle_beta 90.00
_cell_angle_gamma 90.00
loop_
_atom_site_label
_atom_site_type_symbol
_atom_site_fract_x
_atom_site_fract_y
_atom_site_fract_z
Rb1 Rb 0.250 0.250 0.250
Na1 Na 0.000 0.000 0.000
Er1 Er 0.000 0.000 0.500
Cl1 Cl 0.000 0.000 0.257
```